# Sr2PdO4
Calculated powder diffraction line list, λ = 1.5418 Å (Cu Kα). Input: a cell relaxed with PBE.
Neutral-atom scattering factors, no anomalous dispersion.

Main lines, low angle first (5 to 70 degrees two-theta):
(1 1 0), 2θ 17.19, I = 285
(2 0 0), 2θ 29.47, I = 298
(2 1 0), 2θ 30.87, I = 194
(1 3 0), 2θ 31.03, I = 1000
(1 1 1), 2θ 31.96, I = 927
(0 2 1), 2θ 32.45, I = 425
(2 1 1), 2θ 41.29, I = 428
(2 2 1), 2θ 44.40, I = 460
(1 5 1), 2θ 56.43, I = 491
(1 3 2), 2θ 64.56, I = 296

Structure:
a b c (Å): 6.062 9.828 3.335
angles (deg): 90.00 90.00 90.00
Positions (direct):
Sr1 0.078 0.180 0.000
Sr2 0.422 0.680 0.000
Sr3 0.578 0.320 0.000
Sr4 0.922 0.820 0.000
Pd1 0.000 0.500 0.500
Pd2 0.500 0.000 0.500
O1 0.131 0.691 0.500
O2 0.200 0.449 0.000
O3 0.300 0.949 0.000
O4 0.369 0.191 0.500
O5 0.631 0.809 0.500
O6 0.700 0.051 0.000
O7 0.800 0.551 0.000
O8 0.869 0.309 0.500